Th4Tc2Pd: theoretical powder X-ray diffraction pattern (a wavelength of 1.5418 Å), based on a crystal structure in Alexandria, relaxed with PBE.

Most intense lines, 2θ from 5° to 70°, sorted by position:
- 25.7°, d 3.466, I 30.7
- 28.6°, d 3.120, I 76.1
- 29.9°, d 2.989, I 48.3
- 31.6°, d 2.831, I 100.0
- 32.5°, d 2.753, I 85.3
- 33.0°, d 2.711, I 45.9
- 34.8°, d 2.579, I 28.9
- 36.5°, d 2.460, I 51.5
- 39.1°, d 2.301, I 30.7
- 40.2°, d 2.244, I 33.7

Structural model:
abc: 8.1812 8.1812 7.3090
angles: 108.27 108.27 115.96
Sites, in units of the cell vectors:
Th 0.0195 0.9805 0.5000
Th 0.1274 0.6662 0.8006
Th 0.4100 0.5348 0.1276
Th 0.4948 0.9232 0.6415
Th 0.5348 0.4100 0.6276
Th 0.6662 0.1274 0.3006
Th 0.9232 0.4948 0.1415
Th 0.9805 0.0195 0.0000
Tc 0.2399 0.9136 0.2589
Tc 0.5878 0.7743 0.9524
Tc 0.7743 0.5878 0.4524
Tc 0.9136 0.2399 0.7589
Pd 0.1769 0.4216 0.4547
Pd 0.4216 0.1769 0.9547

---

PmNb2Se4I2: theoretical powder X-ray diffraction pattern (a wavelength of 1.5418 Å), based on a crystal structure in Alexandria, relaxed with PBE.

Most intense lines, 2θ from 5° to 70°, sorted by position:
- 12.0°, d 7.394, I 60.7
- 28.0°, d 3.187, I 57.6
- 30.5°, d 2.927, I 26.2
- 32.4°, d 2.763, I 34.7
- 34.7°, d 2.588, I 100.0
- 37.2°, d 2.414, I 21.3
- 43.2°, d 2.092, I 30.7
- 46.6°, d 1.950, I 14.4
- 49.5°, d 1.840, I 44.8
- 61.9°, d 1.500, I 18.2

Structural model:
abc: 3.6804 3.6804 22.1805
angles: 90.00 90.00 120.00
Sites, in units of the cell vectors:
Pm 0.0000 0.0000 0.0000
Nb 0.0000 0.0000 0.6397
Nb 0.6667 0.3333 0.3367
Se 0.0000 0.0000 0.2632
Se 0.0000 0.0000 0.4095
Se 0.6667 0.3333 0.5668
Se 0.6667 0.3333 0.7132
I 0.6667 0.3333 0.1015
I 0.6667 0.3333 0.8983

---

BaSr7: theoretical powder X-ray diffraction pattern (a wavelength of 1.5418 Å), based on a crystal structure in Alexandria, relaxed with PBE.

Most intense lines, 2θ from 5° to 70°, sorted by position:
- 24.1°, d 3.699, I 22.9
- 25.2°, d 3.527, I 26.8
- 27.2°, d 3.276, I 100.0
- 35.2°, d 2.553, I 17.1
- 42.3°, d 2.135, I 20.0
- 45.7°, d 1.985, I 24.0
- 49.9°, d 1.827, I 24.6
- 51.1°, d 1.789, I 17.2
- 68.4°, d 1.371, I 14.4
- 69.1°, d 1.360, I 9.3

Structural model:
abc: 8.5419 8.5419 7.0550
angles: 90.00 90.00 120.00
Sites, in units of the cell vectors:
Ba 0.0000 0.0000 0.0000
Sr 0.0000 0.5000 0.0000
Sr 0.3333 0.6667 0.5000
Sr 0.3348 0.1674 0.5000
Sr 0.5000 0.0000 0.0000
Sr 0.5000 0.5000 0.0000
Sr 0.8326 0.1674 0.5000
Sr 0.8326 0.6652 0.5000

---

Ag5Ir4: theoretical powder X-ray diffraction pattern (a wavelength of 1.5418 Å), based on a crystal structure in Alexandria, relaxed with PBE.

Most intense lines, 2θ from 5° to 70°, sorted by position:
- 14.5°, d 6.096, I 15.6
- 20.6°, d 4.310, I 3.1
- 32.4°, d 2.762, I 2.3
- 38.7°, d 2.326, I 100.0
- 44.6°, d 2.032, I 32.3
- 45.8°, d 1.980, I 15.9
- 48.3°, d 1.883, I 1.7
- 49.3°, d 1.849, I 6.1
- 64.9°, d 1.437, I 9.8
- 65.9°, d 1.418, I 19.9

Structural model:
abc: 6.4092 6.4092 6.4092
angles: 95.48 95.48 144.01
Sites, in units of the cell vectors:
Ag 0.0000 0.0000 0.0000
Ag 0.3324 0.3324 0.6649
Ag 0.3324 0.6676 0.0000
Ag 0.6676 0.3324 0.0000
Ag 0.6676 0.6676 0.3351
Ir 0.0000 0.3507 0.3507
Ir 0.0000 0.6493 0.6493
Ir 0.3507 0.0000 0.3507
Ir 0.6493 0.0000 0.6493

---

In5Pb3: theoretical powder X-ray diffraction pattern (a wavelength of 1.5418 Å), based on a crystal structure in Alexandria, relaxed with PBE.

Most intense lines, 2θ from 5° to 70°, sorted by position:
- 23.8°, d 3.741, I 29.1
- 28.0°, d 3.181, I 24.7
- 30.5°, d 2.931, I 18.7
- 31.9°, d 2.806, I 25.1
- 32.0°, d 2.796, I 100.0
- 35.8°, d 2.510, I 39.8
- 38.6°, d 2.334, I 17.0
- 40.2°, d 2.245, I 26.1
- 55.2°, d 1.665, I 21.3
- 63.8°, d 1.460, I 29.9

Structural model:
abc: 9.7186 9.7186 5.8627
angles: 90.00 90.00 120.00
Sites, in units of the cell vectors:
In 0.0000 0.2049 0.2500
In 0.0000 0.7951 0.7500
In 0.2049 0.0000 0.2500
In 0.2049 0.2049 0.7500
In 0.3333 0.6667 0.0000
In 0.3333 0.6667 0.5000
In 0.6667 0.3333 0.0000
In 0.6667 0.3333 0.5000
In 0.7951 0.0000 0.7500
In 0.7951 0.7951 0.2500
Pb 0.0000 0.3984 0.7500
Pb 0.0000 0.6016 0.2500
Pb 0.3984 0.0000 0.7500
Pb 0.3984 0.3984 0.2500
Pb 0.6016 0.0000 0.2500
Pb 0.6016 0.6016 0.7500

---

MgIr2I: theoretical powder X-ray diffraction pattern (a wavelength of 1.5418 Å), based on a crystal structure in Alexandria, relaxed with PBE.

Most intense lines, 2θ from 5° to 70°, sorted by position:
- 18.4°, d 4.809, I 33.5
- 26.0°, d 3.426, I 22.2
- 32.1°, d 2.790, I 13.0
- 32.6°, d 2.747, I 100.0
- 37.4°, d 2.405, I 32.6
- 42.3°, d 2.137, I 49.2
- 48.8°, d 1.867, I 51.3
- 50.6°, d 1.805, I 13.3
- 57.7°, d 1.597, I 19.9
- 65.1°, d 1.433, I 8.9

Structural model:
abc: 4.0530 4.0530 19.2379
angles: 90.00 90.00 90.00
Sites, in units of the cell vectors:
Mg 0.0000 0.0000 0.0000
Mg 0.0000 0.5000 0.2500
Mg 0.5000 0.0000 0.7500
Mg 0.5000 0.5000 0.5000
Ir 0.1937 0.2500 0.1250
Ir 0.2500 0.6937 0.3750
Ir 0.2500 0.8063 0.8750
Ir 0.3063 0.2500 0.6250
Ir 0.6937 0.7500 0.6250
Ir 0.7500 0.1937 0.8750
Ir 0.7500 0.3063 0.3750
Ir 0.8063 0.7500 0.1250
I 0.0000 0.0000 0.5000
I 0.0000 0.5000 0.7500
I 0.5000 0.0000 0.2500
I 0.5000 0.5000 0.0000

---

Ho3UP4: theoretical powder X-ray diffraction pattern (a wavelength of 1.5418 Å), based on a crystal structure in Alexandria, relaxed with PBE.

Most intense lines, 2θ from 5° to 70°, sorted by position:
- 27.5°, d 3.238, I 95.0
- 31.9°, d 2.804, I 100.0
- 45.6°, d 1.989, I 12.3
- 45.8°, d 1.982, I 61.0
- 54.1°, d 1.694, I 15.6
- 54.3°, d 1.689, I 30.9
- 56.8°, d 1.622, I 12.9
- 57.0°, d 1.616, I 12.8
- 66.7°, d 1.403, I 8.0
- 66.8°, d 1.400, I 4.0

Structural model:
abc: 7.9554 11.2028 3.9586
angles: 90.00 90.00 90.00
Sites, in units of the cell vectors:
Ho 0.0000 0.0000 0.0000
Ho 0.2500 0.2500 0.5000
Ho 0.2500 0.7500 0.5000
Ho 0.5000 0.5000 0.0000
Ho 0.7500 0.2500 0.5000
Ho 0.7500 0.7500 0.5000
U 0.0000 0.5000 0.0000
U 0.5000 0.0000 0.0000
P 0.0000 0.2538 0.0000
P 0.0000 0.7462 0.0000
P 0.2461 0.5000 0.5000
P 0.2539 0.0000 0.5000
P 0.5000 0.2462 0.0000
P 0.5000 0.7538 0.0000
P 0.7461 0.0000 0.5000
P 0.7539 0.5000 0.5000

---

Er4Pt: theoretical powder X-ray diffraction pattern (a wavelength of 1.5418 Å), based on a crystal structure in Alexandria, relaxed with PBE.

Most intense lines, 2θ from 5° to 70°, sorted by position:
- 15.4°, d 5.739, I 19.9
- 20.4°, d 4.347, I 26.4
- 31.2°, d 2.870, I 100.0
- 32.6°, d 2.749, I 23.0
- 33.1°, d 2.710, I 68.7
- 36.8°, d 2.444, I 41.9
- 39.2°, d 2.300, I 51.8
- 40.4°, d 2.232, I 36.7
- 54.1°, d 1.696, I 26.7
- 56.7°, d 1.623, I 34.4

Structural model:
abc: 7.2381 7.2381 7.2381
angles: 106.17 106.17 116.29
Sites, in units of the cell vectors:
Er 0.0524 0.3936 0.2624
Er 0.1312 0.7900 0.7376
Er 0.1436 0.3024 0.7624
Er 0.2100 0.9476 0.3412
Er 0.5400 0.3812 0.2376
Er 0.6064 0.8688 0.6588
Er 0.6188 0.8564 0.1588
Er 0.6976 0.4600 0.8412
Pt 0.0000 0.0000 0.0000
Pt 0.7500 0.2500 0.5000

---

What did the seventh record say?
Ho3UP4: theoretical powder X-ray diffraction pattern (a wavelength of 1.5418 Å), based on a crystal structure in Alexandria, relaxed with PBE.

Most intense lines, 2θ from 5° to 70°, sorted by position:
- 27.5°, d 3.238, I 95.0
- 31.9°, d 2.804, I 100.0
- 45.6°, d 1.989, I 12.3
- 45.8°, d 1.982, I 61.0
- 54.1°, d 1.694, I 15.6
- 54.3°, d 1.689, I 30.9
- 56.8°, d 1.622, I 12.9
- 57.0°, d 1.616, I 12.8
- 66.7°, d 1.403, I 8.0
- 66.8°, d 1.400, I 4.0

Structural model:
abc: 7.9554 11.2028 3.9586
angles: 90.00 90.00 90.00
Sites, in units of the cell vectors:
Ho 0.0000 0.0000 0.0000
Ho 0.2500 0.2500 0.5000
Ho 0.2500 0.7500 0.5000
Ho 0.5000 0.5000 0.0000
Ho 0.7500 0.2500 0.5000
Ho 0.7500 0.7500 0.5000
U 0.0000 0.5000 0.0000
U 0.5000 0.0000 0.0000
P 0.0000 0.2538 0.0000
P 0.0000 0.7462 0.0000
P 0.2461 0.5000 0.5000
P 0.2539 0.0000 0.5000
P 0.5000 0.2462 0.0000
P 0.5000 0.7538 0.0000
P 0.7461 0.0000 0.5000
P 0.7539 0.5000 0.5000